No. 1
Diffraction record for Sm6Er3Th2. The powder X-ray diffraction pattern is computed, not measured: it uses a DFT-relaxed cell (PBE, Alexandria) and CuKα.
Kinematic intensities with the Lorentz-polarization factor, no thermal factor.

Top 12 peaks for 2θ = 10–80°, low angle first:
| 2theta | intensity |
| --- | --- |
| 11.01 | 2 |
| 13.78 | 1 |
| 28.74 | 1 |
| 30.53 | 100 |
| 35.40 | 51 |
| 50.87 | 18 |
| 50.99 | 18 |
| 60.52 | 33 |
| 60.64 | 10 |
| 63.49 | 9 |
| 63.70 | 3 |
| 74.89 | 6 |

Atomic structure:
Cell: 32.2054 32.2054 32.2054 Å, 6.39 6.39 6.39°
Element x y z (fractional)
Sm (0.0907, 0.0907, 0.0907)
Sm (0.1830, 0.1830, 0.1830)
Sm (0.3634, 0.3634, 0.3634)
Sm (0.6366, 0.6366, 0.6366)
Sm (0.8170, 0.8170, 0.8170)
Sm (0.9093, 0.9093, 0.9093)
Er (0.0000, 0.0000, 0.0000)
Er (0.2735, 0.2735, 0.2735)
Er (0.7265, 0.7265, 0.7265)
Th (0.4540, 0.4540, 0.4540)
Th (0.5460, 0.5460, 0.5460)

=====

No. 2
Diffraction record for As5Cl3. The powder X-ray diffraction pattern is computed, not measured: it uses a DFT-relaxed cell (PBE, Alexandria) and CuKα.
Kinematic intensities with the Lorentz-polarization factor, no thermal factor.

Top 12 peaks for 2θ = 10–80°, low angle first:
| 2theta | intensity |
| --- | --- |
| 11.05 | 45 |
| 19.19 | 100 |
| 29.50 | 59 |
| 34.28 | 100 |
| 36.37 | 69 |
| 39.81 | 23 |
| 40.61 | 48 |
| 41.44 | 26 |
| 42.81 | 51 |
| 48.93 | 22 |
| 52.84 | 28 |
| 53.03 | 34 |

Atomic structure:
Cell: 9.2499 9.2499 5.1934 Å, 90.00 90.00 120.00°
Element x y z (fractional)
As (0.0000, 0.1565, 0.2500)
As (0.0000, 0.8435, 0.7500)
As (0.1565, 0.0000, 0.2500)
As (0.1565, 0.1565, 0.7500)
As (0.3333, 0.6667, 0.0000)
As (0.3333, 0.6667, 0.5000)
As (0.6667, 0.3333, 0.0000)
As (0.6667, 0.3333, 0.5000)
As (0.8435, 0.0000, 0.7500)
As (0.8435, 0.8435, 0.2500)
Cl (0.0000, 0.4093, 0.7500)
Cl (0.0000, 0.5907, 0.2500)
Cl (0.4093, 0.0000, 0.7500)
Cl (0.4093, 0.4093, 0.2500)
Cl (0.5907, 0.0000, 0.2500)
Cl (0.5907, 0.5907, 0.7500)

=====

No. 3
Diffraction record for NaHoEr. The powder X-ray diffraction pattern is computed, not measured: it uses a DFT-relaxed cell (PBE, Alexandria) and CuKα.
Kinematic intensities with the Lorentz-polarization factor, no thermal factor.

Top 12 peaks for 2θ = 10–80°, low angle first:
| 2theta | intensity |
| --- | --- |
| 10.95 | 68 |
| 26.32 | 18 |
| 30.69 | 100 |
| 33.25 | 18 |
| 36.70 | 32 |
| 38.08 | 23 |
| 38.41 | 14 |
| 50.35 | 23 |
| 52.87 | 11 |
| 57.83 | 12 |
| 62.38 | 26 |
| 63.91 | 11 |

Atomic structure:
Cell: 3.4633 3.4633 16.1655 Å, 90.00 90.00 90.00°
Element x y z (fractional)
Na (0.0000, 0.0000, 0.0000)
Na (0.5000, 0.5000, 0.5000)
Ho (0.0000, 0.0000, 0.3229)
Ho (0.5000, 0.5000, 0.8229)
Er (0.0000, 0.0000, 0.6764)
Er (0.5000, 0.5000, 0.1764)